# 1
For Ta5CrFe4, DFT lattice parameters and positions (PBE) gives the theoretical powder diffractogram in this record (copper Kα).

Structure:
```
data_Ta5CrFe4
_chemical_formula_sum 'Ta5 Cr1 Fe4'
_cell_length_a 3.0704
_cell_length_b 3.0704
_cell_length_c 15.3264
_cell_angle_alpha 90.00
_cell_angle_beta 90.00
_cell_angle_gamma 90.00
_symmetry_space_group_name_H-M 'P 4/m m m'
_symmetry_Int_Tables_number 123
_symmetry_space_group_name_Hall '-P 4 2'
loop_
_atom_site_label
_atom_site_type_symbol
_atom_site_fract_x
_atom_site_fract_y
_atom_site_fract_z
_atom_site_occupancy
Ta1 Ta 0.0000 0.0000 0.0000 1
Ta2 Ta 0.0000 0.0000 0.1997 1
Ta3 Ta 0.0000 0.0000 0.4006 1
Cr1 Cr 0.5000 0.5000 0.5000 1
Fe1 Fe 0.5000 0.5000 0.1011 1
Fe2 Fe 0.5000 0.5000 0.2983 1
```

Largest 8 diffraction maxima, in order of rising 2θ, 15 to 90 degrees two-theta:
- hkl 1 0 0, d = 3.069 Å, 29.10°, rel. 33
- hkl 1 1 0, d = 2.170 Å, 41.62°, rel. 100
- hkl 1 1 5, d = 1.772 Å, 51.59°, rel. 10
- hkl 2 0 0, d = 1.535 Å, 60.29°, rel. 11
- hkl 0 0 10, d = 1.533 Å, 60.40°, rel. 5
- hkl 2 1 0, d = 1.373 Å, 68.32°, rel. 9
- hkl 1 0 10, d = 1.371 Å, 68.41°, rel. 4
- hkl 2 1 5, d = 1.253 Å, 75.96°, rel. 33

***

# 2
For LaPmS2, DFT lattice parameters and positions (PBE) gives the theoretical powder diffractogram in this record (copper Kα).

Structure:
```
data_LaPmS2
_chemical_formula_sum 'La2 Pm2 S4'
_cell_length_a 7.0839
_cell_length_b 4.1041
_cell_length_c 7.0838
_cell_angle_alpha 90.00
_cell_angle_beta 109.59
_cell_angle_gamma 90.00
_symmetry_space_group_name_H-M 'C 1 2/m 1'
_symmetry_Int_Tables_number 12
loop_
_symmetry_equiv_pos_as_xyz
'x,y,z'
'-x,-y,-z'
'-x,y,-z'
'x,-y,z'
'x+1/2,y+1/2,z'
'-x+1/2,-y+1/2,-z'
'-x+1/2,y+1/2,-z'
'x+1/2,-y+1/2,z'
loop_
_atom_site_label
_atom_site_type_symbol
_atom_site_fract_x
_atom_site_fract_y
_atom_site_fract_z
_atom_site_occupancy
La1 La 0.0000 0.0000 0.0000 1
Pm1 Pm 0.0000 0.5000 0.5000 1
S1 S 0.2472 0.0000 0.7417 1
```

Largest 10 diffraction maxima, in order of rising 2θ, 15 to 90 degrees two-theta:
- hkl 0 0 2, d = 3.342 Å, 26.67°, rel. 73
- hkl 1 1 1, d = 2.895 Å, 30.89°, rel. 100
- hkl 0 2 0, d = 2.052 Å, 44.13°, rel. 12
- hkl 3 1 -1, d = 2.047 Å, 44.25°, rel. 48
- hkl 0 2 2, d = 1.747 Å, 52.36°, rel. 18
- hkl 1 1 3, d = 1.744 Å, 52.48°, rel. 18
- hkl 2 2 -2, d = 1.674 Å, 54.84°, rel. 13
- hkl 4 0 0, d = 1.669 Å, 55.04°, rel. 13
- hkl 4 2 0, d = 1.294 Å, 73.10°, rel. 21
- hkl 3 3 -1, d = 1.183 Å, 81.31°, rel. 12

***

# 3
For Pa3Be2Co5, DFT lattice parameters and positions (PBE) gives the theoretical powder diffractogram in this record (copper Kα).

Structure:
```
data_Pa3Be2Co5
_chemical_formula_sum 'Pa6 Be4 Co10'
_cell_length_a 9.2266
_cell_length_b 9.2266
_cell_length_c 3.4074
_cell_angle_alpha 90.00
_cell_angle_beta 90.00
_cell_angle_gamma 90.00
_symmetry_space_group_name_H-M 'P 4/m b m'
_symmetry_Int_Tables_number 127
_symmetry_space_group_name_Hall '-P 4 2ab'
loop_
_atom_site_label
_atom_site_type_symbol
_atom_site_fract_x
_atom_site_fract_y
_atom_site_fract_z
_atom_site_occupancy
Pa1 Pa 0.0000 0.0000 0.0000 1
Pa2 Pa 0.1745 0.3255 0.0000 1
Be1 Be 0.1173 0.6173 0.0000 1
Co1 Co 0.0000 0.5000 0.5000 1
Co2 Co 0.0729 0.7760 0.5000 1
```

Largest 10 diffraction maxima, in order of rising 2θ, 15 to 90 degrees two-theta:
- hkl 2 1 0, d = 4.126 Å, 21.54°, rel. 46
- hkl 2 2 0, d = 3.262 Å, 27.34°, rel. 21
- hkl 3 1 0, d = 2.918 Å, 30.64°, rel. 37
- hkl 2 1 1, d = 2.627 Å, 34.13°, rel. 86
- hkl 2 2 1, d = 2.356 Å, 38.19°, rel. 42
- hkl 4 1 0, d = 2.238 Å, 40.30°, rel. 49
- hkl 3 1 1, d = 2.216 Å, 40.71°, rel. 100
- hkl 4 2 0, d = 2.063 Å, 43.88°, rel. 29
- hkl 5 3 1, d = 1.435 Å, 64.98°, rel. 25
- hkl 6 0 1, d = 1.402 Å, 66.74°, rel. 24

***

# 4
For TiMn2P12, DFT lattice parameters and positions (PBE) gives the theoretical powder diffractogram in this record (copper Kα).

Structure:
```
data_TiMn2P12
_chemical_formula_sum 'Ti4 Mn8 P48'
_cell_length_a 16.0430
_cell_length_b 5.8001
_cell_length_c 10.6433
_cell_angle_alpha 90.00
_cell_angle_beta 115.19
_cell_angle_gamma 90.00
_symmetry_space_group_name_H-M 'C 1 2/c 1'
_symmetry_Int_Tables_number 15
loop_
_symmetry_equiv_pos_as_xyz
'x,y,z'
'-x,-y,-z'
'-x,y,-z+1/2'
'x,-y,z+1/2'
'x+1/2,y+1/2,z'
'-x+1/2,-y+1/2,-z'
'-x+1/2,y+1/2,-z+1/2'
'x+1/2,-y+1/2,z+1/2'
loop_
_atom_site_label
_atom_site_type_symbol
_atom_site_fract_x
_atom_site_fract_y
_atom_site_fract_z
_atom_site_occupancy
Ti1 Ti 0.0000 0.1963 0.2500 1
Mn1 Mn 0.1825 0.3102 0.0463 1
P1 P 0.0331 0.4509 0.9277 1
P2 P 0.0619 0.1469 0.6666 1
P3 P 0.1170 0.0493 0.5058 1
P4 P 0.1560 0.3238 0.2429 1
P5 P 0.1780 0.3273 0.8354 1
P6 P 0.2261 0.3216 0.5747 1
```

Largest 10 diffraction maxima, in order of rising 2θ, 15 to 90 degrees two-theta:
- hkl 2 0 2, d = 3.401 Å, 26.20°, rel. 30
- hkl 5 1 -1, d = 2.788 Å, 32.11°, rel. 44
- hkl 2 2 -1, d = 2.707 Å, 33.09°, rel. 30
- hkl 2 2 0, d = 2.693 Å, 33.27°, rel. 30
- hkl 5 1 0, d = 2.596 Å, 34.55°, rel. 42
- hkl 4 0 -4, d = 2.573 Å, 34.86°, rel. 100
- hkl 3 1 2, d = 2.564 Å, 34.99°, rel. 44
- hkl 3 3 0, d = 1.795 Å, 50.86°, rel. 64
- hkl 7 1 1, d = 1.780 Å, 51.34°, rel. 78
- hkl 2 2 -5, d = 1.699 Å, 53.96°, rel. 34

***

# 5
For La5Pm2Tm2, DFT lattice parameters and positions (PBE) gives the theoretical powder diffractogram in this record (copper Kα).

Structure:
```
data_La5Pm2Tm2
_chemical_formula_sum 'La10 Pm4 Tm4'
_cell_length_a 11.6654
_cell_length_b 5.1748
_cell_length_c 10.9831
_cell_angle_alpha 90.00
_cell_angle_beta 109.06
_cell_angle_gamma 90.00
_symmetry_space_group_name_H-M 'C 1 2/m 1'
_symmetry_Int_Tables_number 12
loop_
_symmetry_equiv_pos_as_xyz
'x,y,z'
'-x,-y,-z'
'-x,y,-z'
'x,-y,z'
'x+1/2,y+1/2,z'
'-x+1/2,-y+1/2,-z'
'-x+1/2,y+1/2,-z'
'x+1/2,-y+1/2,z'
loop_
_atom_site_label
_atom_site_type_symbol
_atom_site_fract_x
_atom_site_fract_y
_atom_site_fract_z
_atom_site_occupancy
La1 La 0.0000 0.0000 0.0000 1
La2 La 0.1658 0.5000 0.8894 1
La3 La 0.1678 0.5000 0.5541 1
Pm1 Pm 0.0016 0.0000 0.6685 1
Tm1 Tm 0.1676 0.5000 0.2237 1
```

Largest 10 diffraction maxima, in order of rising 2θ, 15 to 90 degrees two-theta:
- hkl 3 1 0, d = 2.993 Å, 29.86°, rel. 100
- hkl 4 0 -3, d = 2.611 Å, 34.34°, rel. 17
- hkl 0 2 0, d = 2.587 Å, 34.67°, rel. 17
- hkl 2 0 3, d = 2.576 Å, 34.82°, rel. 17
- hkl 6 0 0, d = 1.838 Å, 49.60°, rel. 18
- hkl 2 2 3, d = 1.826 Å, 49.95°, rel. 12
- hkl 7 1 -3, d = 1.573 Å, 58.69°, rel. 7
- hkl 5 1 -6, d = 1.570 Å, 58.83°, rel. 7
- hkl 3 3 0, d = 1.561 Å, 59.19°, rel. 14
- hkl 5 1 3, d = 1.558 Å, 59.32°, rel. 7

***

# 6
For Ac3NdRh, DFT lattice parameters and positions (PBE) gives the theoretical powder diffractogram in this record (copper Kα).

Structure:
```
data_Ac3NdRh
_chemical_formula_sum 'Ac12 Nd4 Rh4'
_cell_length_a 5.9289
_cell_length_b 11.0491
_cell_length_c 11.7624
_cell_angle_alpha 90.00
_cell_angle_beta 90.00
_cell_angle_gamma 90.00
_symmetry_space_group_name_H-M 'A m m 2'
_symmetry_Int_Tables_number 38
loop_
_symmetry_equiv_pos_as_xyz
'x,y,z'
'-x,-y,z'
'-x,y,z'
'x,-y,z'
'x,y+1/2,z+1/2'
'-x,-y+1/2,z+1/2'
'-x,y+1/2,z+1/2'
'x,-y+1/2,z+1/2'
loop_
_atom_site_label
_atom_site_type_symbol
_atom_site_fract_x
_atom_site_fract_y
_atom_site_fract_z
_atom_site_occupancy
Ac1 Ac 0.0000 0.0000 0.0000 1
Ac2 Ac 0.0000 0.0000 0.4929 1
Ac3 Ac 0.5000 0.0000 0.2726 1
Ac4 Ac 0.5000 0.0000 0.7702 1
Ac5 Ac 0.5000 0.2353 0.5160 1
Nd1 Nd 0.0000 0.2417 0.2576 1
Rh1 Rh 0.0000 0.0000 0.7423 1
Rh2 Rh 0.5000 0.0000 0.0242 1
```

Largest 10 diffraction maxima, in order of rising 2θ, 15 to 90 degrees two-theta:
- hkl 1 2 2, d = 3.331 Å, 26.76°, rel. 100
- hkl 2 0 0, d = 2.964 Å, 30.15°, rel. 32
- hkl 0 0 4, d = 2.941 Å, 30.40°, rel. 29
- hkl 0 4 0, d = 2.762 Å, 32.41°, rel. 26
- hkl 2 0 4, d = 2.088 Å, 43.34°, rel. 23
- hkl 2 4 0, d = 2.021 Å, 44.85°, rel. 21
- hkl 0 4 4, d = 2.013 Å, 45.03°, rel. 20
- hkl 3 2 2, d = 1.774 Å, 51.51°, rel. 17
- hkl 1 2 6, d = 1.764 Å, 51.83°, rel. 15
- hkl 2 4 4, d = 1.666 Å, 55.14°, rel. 22

***

# 7
For LaTb5Ho2, DFT lattice parameters and positions (PBE) gives the theoretical powder diffractogram in this record (copper Kα).

Structure:
```
data_LaTb5Ho2
_chemical_formula_sum 'La2 Tb10 Ho4'
_cell_length_a 7.1646
_cell_length_b 14.3299
_cell_length_c 5.0441
_cell_angle_alpha 90.00
_cell_angle_beta 90.00
_cell_angle_gamma 90.00
_symmetry_space_group_name_H-M 'P b a m'
_symmetry_Int_Tables_number 55
loop_
_symmetry_equiv_pos_as_xyz
'x,y,z'
'-x,-y,-z'
'-x,-y,z'
'x,y,-z'
'x+1/2,-y+1/2,-z'
'-x+1/2,y+1/2,z'
'-x+1/2,y+1/2,-z'
'x+1/2,-y+1/2,z'
loop_
_atom_site_label
_atom_site_type_symbol
_atom_site_fract_x
_atom_site_fract_y
_atom_site_fract_z
_atom_site_occupancy
La1 La 0.0000 0.0000 0.0000 1
Tb1 Tb 0.0000 0.5000 0.0000 1
Tb2 Tb 0.0013 0.2521 0.0000 1
Tb3 Tb 0.2479 0.6264 0.5000 1
Ho1 Ho 0.2499 0.3737 0.5000 1
```

Largest 10 diffraction maxima, in order of rising 2θ, 15 to 90 degrees two-theta:
- hkl 2 0 1, d = 2.921 Å, 30.61°, rel. 100
- hkl 2 4 0, d = 2.533 Å, 35.44°, rel. 34
- hkl 0 0 2, d = 2.522 Å, 35.60°, rel. 17
- hkl 4 0 0, d = 1.791 Å, 50.99°, rel. 12
- hkl 2 4 2, d = 1.787 Å, 51.11°, rel. 24
- hkl 4 4 1, d = 1.527 Å, 60.65°, rel. 29
- hkl 2 0 3, d = 1.522 Å, 60.86°, rel. 14
- hkl 4 0 2, d = 1.460 Å, 63.73°, rel. 12
- hkl 4 4 3, d = 1.160 Å, 83.31°, rel. 12
- hkl 6 4 0, d = 1.132 Å, 85.81°, rel. 11

***

# 8
For Rb2As2Pt, DFT lattice parameters and positions (PBE) gives the theoretical powder diffractogram in this record (copper Kα).

Structure:
```
data_Rb2As2Pt
_chemical_formula_sum 'Rb8 As8 Pt4'
_cell_length_a 12.8331
_cell_length_b 4.6460
_cell_length_c 11.5135
_cell_angle_alpha 90.00
_cell_angle_beta 118.84
_cell_angle_gamma 90.00
_symmetry_space_group_name_H-M 'C 1 2/m 1'
_symmetry_Int_Tables_number 12
loop_
_symmetry_equiv_pos_as_xyz
'x,y,z'
'-x,-y,-z'
'-x,y,-z'
'x,-y,z'
'x+1/2,y+1/2,z'
'-x+1/2,-y+1/2,-z'
'-x+1/2,y+1/2,-z'
'x+1/2,-y+1/2,z'
loop_
_atom_site_label
_atom_site_type_symbol
_atom_site_fract_x
_atom_site_fract_y
_atom_site_fract_z
_atom_site_occupancy
Rb1 Rb 0.0361 0.0000 0.1694 1
Rb2 Rb 0.1945 0.0000 0.6030 1
As1 As 0.0006 0.5000 0.6108 1
As2 As 0.2344 0.5000 0.0799 1
Pt1 Pt 0.1738 0.5000 0.8378 1
```

Largest 10 diffraction maxima, in order of rising 2θ, 15 to 90 degrees two-theta:
- hkl 1 1 -2, d = 3.614 Å, 24.63°, rel. 25
- hkl 3 1 -1, d = 3.132 Å, 28.50°, rel. 100
- hkl 1 1 2, d = 3.007 Å, 29.71°, rel. 22
- hkl 1 1 -3, d = 2.919 Å, 30.62°, rel. 23
- hkl 3 1 -3, d = 2.779 Å, 32.21°, rel. 20
- hkl 4 0 -4, d = 2.601 Å, 34.48°, rel. 28
- hkl 0 0 4, d = 2.521 Å, 35.61°, rel. 19
- hkl 0 2 0, d = 2.323 Å, 38.76°, rel. 38
- hkl 3 1 3, d = 1.881 Å, 48.40°, rel. 32
- hkl 4 2 -4, d = 1.733 Å, 52.83°, rel. 18

***

# 9
For PrScTlAg, DFT lattice parameters and positions (PBE) gives the theoretical powder diffractogram in this record (copper Kα).

Structure:
```
data_PrScTlAg
_chemical_formula_sum 'Pr1 Sc1 Tl1 Ag1'
_cell_length_a 3.6024
_cell_length_b 3.6024
_cell_length_c 7.7193
_cell_angle_alpha 90.00
_cell_angle_beta 90.00
_cell_angle_gamma 90.00
_symmetry_space_group_name_H-M 'P 4 m m'
_symmetry_Int_Tables_number 99
loop_
_symmetry_equiv_pos_as_xyz
'x,y,z'
'-y,x,z'
'-x,-y,z'
'y,-x,z'
'-x,y,z'
'y,x,z'
'x,-y,z'
'-y,-x,z'
loop_
_atom_site_label
_atom_site_type_symbol
_atom_site_fract_x
_atom_site_fract_y
_atom_site_fract_z
_atom_site_occupancy
Pr1 Pr 0.0000 0.0000 0.0000 1
Sc1 Sc 0.0000 0.0000 0.5311 1
Tl1 Tl 0.5000 0.5000 0.2906 1
Ag1 Ag 0.5000 0.5000 0.7200 1
```

Largest 10 diffraction maxima, in order of rising 2θ, 15 to 90 degrees two-theta:
- hkl 1 0 1, d = 3.264 Å, 27.32°, rel. 29
- hkl 1 0 2, d = 2.634 Å, 34.04°, rel. 100
- hkl 0 0 3, d = 2.573 Å, 34.87°, rel. 10
- hkl 1 1 0, d = 2.547 Å, 35.23°, rel. 52
- hkl 1 1 3, d = 1.810 Å, 50.41°, rel. 15
- hkl 2 0 0, d = 1.801 Å, 50.68°, rel. 18
- hkl 1 1 4, d = 1.538 Å, 60.16°, rel. 13
- hkl 2 1 2, d = 1.487 Å, 62.47°, rel. 34
- hkl 1 0 5, d = 1.419 Å, 65.81°, rel. 11
- hkl 2 1 5, d = 1.115 Å, 87.52°, rel. 10

***

# 10
For ZrI3, DFT lattice parameters and positions (PBE) gives the theoretical powder diffractogram in this record (copper Kα).

Structure:
```
data_ZrI3
_chemical_formula_sum 'Zr2 I6'
_cell_length_a 7.9728
_cell_length_b 7.9728
_cell_length_c 6.5861
_cell_angle_alpha 90.00
_cell_angle_beta 90.00
_cell_angle_gamma 120.00
_symmetry_space_group_name_H-M 'P 63/m c m'
_symmetry_Int_Tables_number 193
_symmetry_space_group_name_Hall '-P 6c 2'
loop_
_atom_site_label
_atom_site_type_symbol
_atom_site_fract_x
_atom_site_fract_y
_atom_site_fract_z
_atom_site_occupancy
Zr1 Zr 0.0000 0.0000 0.0000 1
I1 I 0.0000 0.3039 0.2500 1
```

Largest 10 diffraction maxima, in order of rising 2θ, 15 to 90 degrees two-theta:
- hkl 1 1 1, d = 3.410 Å, 26.13°, rel. 100
- hkl 0 0 2, d = 3.293 Å, 27.08°, rel. 12
- hkl 1 1 2, d = 2.539 Å, 35.35°, rel. 34
- hkl 2 0 2, d = 2.383 Å, 37.75°, rel. 10
- hkl 3 0 0, d = 2.302 Å, 39.14°, rel. 32
- hkl 1 1 3, d = 1.923 Å, 47.27°, rel. 19
- hkl 2 2 1, d = 1.908 Å, 47.67°, rel. 15
- hkl 3 0 2, d = 1.886 Å, 48.24°, rel. 11
- hkl 4 1 1, d = 1.469 Å, 63.32°, rel. 11
- hkl 3 0 4, d = 1.339 Å, 70.30°, rel. 11

***

# 11
For Ti8In2Sb, DFT lattice parameters and positions (PBE) gives the theoretical powder diffractogram in this record (copper Kα).

Structure:
```
data_Ti8In2Sb
_chemical_formula_sum 'Ti16 In4 Sb2'
_cell_length_a 15.2141
_cell_length_b 3.9970
_cell_length_c 6.8950
_cell_angle_alpha 90.00
_cell_angle_beta 107.02
_cell_angle_gamma 90.00
_symmetry_space_group_name_H-M 'C 1 2/m 1'
_symmetry_Int_Tables_number 12
loop_
_symmetry_equiv_pos_as_xyz
'x,y,z'
'-x,-y,-z'
'-x,y,-z'
'x,-y,z'
'x+1/2,y+1/2,z'
'-x+1/2,-y+1/2,-z'
'-x+1/2,y+1/2,-z'
'x+1/2,-y+1/2,z'
loop_
_atom_site_label
_atom_site_type_symbol
_atom_site_fract_x
_atom_site_fract_y
_atom_site_fract_z
_atom_site_occupancy
Ti1 Ti 0.0511 0.0000 0.2305 1
Ti2 Ti 0.0799 0.5000 0.9425 1
Ti3 Ti 0.1299 0.0000 0.6832 1
Ti4 Ti 0.1815 0.5000 0.4280 1
In1 In 0.2245 0.0000 0.1411 1
Sb1 Sb 0.0000 0.5000 0.5000 1
```

Largest 10 diffraction maxima, in order of rising 2θ, 15 to 90 degrees two-theta:
- hkl 2 0 1, d = 4.299 Å, 20.66°, rel. 13
- hkl 1 1 -1, d = 3.446 Å, 25.86°, rel. 22
- hkl 1 1 2, d = 2.414 Å, 37.24°, rel. 100
- hkl 5 1 -1, d = 2.403 Å, 37.43°, rel. 98
- hkl 4 0 -3, d = 2.185 Å, 41.32°, rel. 36
- hkl 6 0 1, d = 2.086 Å, 43.37°, rel. 31
- hkl 0 2 0, d = 1.999 Å, 45.38°, rel. 28
- hkl 4 2 -3, d = 1.475 Å, 63.03°, rel. 19
- hkl 6 2 1, d = 1.443 Å, 64.57°, rel. 18
- hkl 3 1 -5, d = 1.303 Å, 72.53°, rel. 12

***

# 12
For LaNd2YHo, DFT lattice parameters and positions (PBE) gives the theoretical powder diffractogram in this record (copper Kα).

Structure:
```
data_LaNd2YHo
_chemical_formula_sum 'La1 Nd2 Y1 Ho1'
_cell_length_a 3.7086
_cell_length_b 5.6726
_cell_length_c 8.6726
_cell_angle_alpha 90.00
_cell_angle_beta 90.00
_cell_angle_gamma 90.00
_symmetry_space_group_name_H-M 'P m m m'
_symmetry_Int_Tables_number 47
loop_
_symmetry_equiv_pos_as_xyz
'x,y,z'
'-x,-y,-z'
'-x,-y,z'
'x,y,-z'
'x,-y,-z'
'-x,y,z'
'-x,y,-z'
'x,-y,z'
loop_
_atom_site_label
_atom_site_type_symbol
_atom_site_fract_x
_atom_site_fract_y
_atom_site_fract_z
_atom_site_occupancy
La1 La 0.0000 0.0000 0.0000 1
Nd1 Nd 0.0000 0.5000 0.3219 1
Y1 Y 0.5000 0.5000 0.0000 1
Ho1 Ho 0.5000 0.0000 0.5000 1
```

Largest 10 diffraction maxima, in order of rising 2θ, 15 to 90 degrees two-theta:
- hkl 0 1 2, d = 3.445 Å, 25.86°, rel. 43
- hkl 1 1 1, d = 2.923 Å, 30.59°, rel. 100
- hkl 0 2 0, d = 2.836 Å, 31.54°, rel. 40
- hkl 1 0 2, d = 2.818 Å, 31.75°, rel. 15
- hkl 0 1 3, d = 2.576 Å, 34.83°, rel. 21
- hkl 1 1 2, d = 2.524 Å, 35.57°, rel. 15
- hkl 1 0 3, d = 2.280 Å, 39.53°, rel. 23
- hkl 1 2 3, d = 1.777 Å, 51.42°, rel. 23
- hkl 1 3 1, d = 1.654 Å, 55.58°, rel. 18
- hkl 1 1 5, d = 1.514 Å, 61.21°, rel. 19